This entry pairs a crystal structure of Co2S3 with its simulated XRD peak list. Radiation: Cu Kα (λ = 1.5418 Å). Structure: a structure optimized by DFT (GGA-PBE).
Kinematic intensities with the Lorentz-polarization factor, no thermal factor.

Cell and atoms:
```
Co2S3
1.0
2.851 1.646 5.030
-2.851 1.646 5.030
0.000 -3.292 5.030
Co S
4 6
direct
0.150 0.150 0.150
0.350 0.350 0.350
0.650 0.650 0.650
0.850 0.850 0.850
0.053 0.750 0.447
0.250 0.553 0.947
0.447 0.053 0.750
0.553 0.947 0.250
0.750 0.447 0.053
0.947 0.250 0.553
```

Main lines, most intense first (2θ = 10–80°):
two_theta  I/Imax
48.25  100.0
29.80  75.6
36.21  74.8
55.85  64.0
21.50  55.7
31.37  48.3